The following is a calculated powder diffraction line list of YCrSbO6. It was derived from DFT lattice parameters and positions (GGA+U), using Cu Kα.
Lines closer than 0.1° are merged.

Structural model:
```
data_YCrSbO6
_chemical_formula_sum 'Y2 Cr2 Sb2 O12'
_cell_length_a 5.1782
_cell_length_b 5.1782
_cell_length_c 9.8149
_cell_angle_alpha 90.00
_cell_angle_beta 90.00
_cell_angle_gamma 120.00
_symmetry_space_group_name_H-M 'P -3 1 c'
_symmetry_Int_Tables_number 163
_symmetry_space_group_name_Hall '-P 3 2c'
loop_
_atom_site_label
_atom_site_type_symbol
_atom_site_fract_x
_atom_site_fract_y
_atom_site_fract_z
Y1 Y 0.0000 0.0000 0.0000
Cr1 Cr 0.3333 0.6667 0.2500
Sb1 Sb 0.3333 0.6667 0.7500
O1 O 0.0087 0.3641 0.1401
```

Peak list (10 most intense, 10 to 80 degrees two-theta, by intensity)
- 2θ 26.93, intensity 100, (1 0 2)
- 2θ 51.30, intensity 46, (1 1 4)
- 2θ 34.65, intensity 37, (1 1 0)
- 2θ 44.42, intensity 23, (2 0 2)
- 2θ 57.53, intensity 22, (2 1 2)
- 2θ 62.09, intensity 16, (3 0 0)
- 2θ 21.79, intensity 15, (1 0 1)
- 2θ 18.08, intensity 15, (0 0 2)
- 2θ 39.35, intensity 13, (1 1 2)
- 2θ 60.22, intensity 9, (1 0 6)